The following is a simulated X-ray diffraction stick pattern of NpCo2CuO6. It was derived from a GGA+U-relaxed structure, using Cu Kα, 1.54184 Å.
Intensities are scaled so that the largest is 100.

Structural model:
```
data_NpCo2CuO6
_cell_length_a 5.934
_cell_length_b 5.934
_cell_length_c 4.060
_cell_angle_alpha 90.00
_cell_angle_beta 90.00
_cell_angle_gamma 90.00
_space_group_name_H-M_alt 'P 1'
_space_group_IT_number 1
_space_group_name_Hall 'P 1'
loop_
_atom_site_label
_atom_site_fract_x
_atom_site_fract_y
_atom_site_fract_z
_atom_site_occupancy
Np1 0.000 0.000 0.000 1
Co1 0.000 0.500 0.005 1
Co2 0.500 0.000 0.005 1
Cu1 0.500 0.500 0.997 1
O1 0.000 0.000 0.500 1
O2 0.248 0.248 0.001 1
O3 0.248 0.752 0.001 1
O4 0.500 0.500 0.499 1
O5 0.752 0.248 0.001 1
O6 0.752 0.752 0.001 1
```

Principal peaks in the range 2θ from 10° to 80°, by angle:
hkl	2theta	intensity
1 0 0	14.93	56
1 1 0	21.18	44
0 0 1	21.89	100
1 0 1	26.60	30
2 0 0	30.12	65
2 0 1	37.55	50
2 2 0	43.12	43
2 2 1	48.87	45
2 0 2	54.79	24
2 2 2	63.80	24